Computed powder diffractogram of Rb3ZrAs2O8 for Cu Kα X-rays, from DFT lattice parameters and positions (PBE).

Structure:
```
Rb3ZrAs2O8
1.0
5.9677 0.0000 0.0000
-2.9839 5.1682 0.0000
0.0000 0.0000 8.2285
Rb Zr As O
3 1 2 8
Direct
0.0000 0.0000 0.0000
0.3333 0.6667 0.7522
0.6667 0.3333 0.2478
0.0000 0.0000 0.5000
0.3333 0.6667 0.2867
0.6667 0.3333 0.7133
0.1657 0.3314 0.3461
0.1657 0.8343 0.3461
0.3314 0.1657 0.6539
0.3333 0.6667 0.0803
0.6667 0.3333 0.9197
0.6686 0.8343 0.3461
0.8343 0.1657 0.6539
0.8343 0.6686 0.6539
```

Principal peaks in the range 2θ from 10° to 80°, low angle first:
- (1 0 2), 2θ = 27.71°, 3.219 Å, I 100
- (1 1 0), 2θ = 29.95°, 2.984 Å, I 99
- (2 0 2), 2θ = 41.26°, 2.188 Å, I 38
- (2 1 2), 2θ = 51.81°, 1.765 Å, I 35
- (3 0 0), 2θ = 53.17°, 1.723 Å, I 19
- (1 1 4), 2θ = 54.15°, 1.694 Å, I 29
- (2 2 0), 2θ = 62.23°, 1.492 Å, I 17
- (1 3 2), 2θ = 69.44°, 1.354 Å, I 14